Entry 1:
Structure and simulated powder diffractogram of KZrTeAuSe2 (a cell relaxed with GGA-PBE; Cu Kα X-rays).
Intensities are scaled so that the largest is 100.

a = 8.6317 Å, b = 4.0696 Å, c = 10.5716 Å
α = 90.00°, β = 111.33°, γ = 90.00°
Positions (direct):
K (0.2398, 0.2500, 0.2968)
K (0.7602, 0.7500, 0.7032)
Zr (0.2924, 0.7500, 0.8202)
Zr (0.7076, 0.2500, 0.1798)
Te (0.4382, 0.7500, 0.1289)
Te (0.5618, 0.2500, 0.8711)
Au (0.0813, 0.2500, 0.6048)
Au (0.9187, 0.7500, 0.3952)
Se (0.0989, 0.2500, 0.8543)
Se (0.2678, 0.7500, 0.5622)
Se (0.7322, 0.2500, 0.4378)
Se (0.9011, 0.7500, 0.1457)

Most intense lines, 5° ≤ 2θ ≤ 70°, by intensity:
two_theta	d [Å]	intensity
11.40	7.763	100
31.27	2.860	33
41.76	2.163	22
30.20	2.959	15
34.86	2.574	15
44.53	2.035	14
33.67	2.662	14
28.04	3.183	13
32.99	2.715	13
38.44	2.342	12
35.13	2.555	12
51.67	1.769	10

***

Entry 2:
Structure and simulated powder diffractogram of KTmAuSe3 (a cell relaxed with GGA-PBE; Cu Kα X-rays).
Intensities are scaled so that the largest is 100.

a = 7.9698 Å, b = 7.9698 Å, c = 10.5781 Å
α = 90.00°, β = 90.00°, γ = 150.59°
Positions (direct):
K (0.2439, 0.7561, 0.7500)
K (0.7561, 0.2439, 0.2500)
Tm (0.0000, 0.0000, 0.0000)
Tm (0.0000, 0.0000, 0.5000)
Au (0.4656, 0.5344, 0.2500)
Au (0.5344, 0.4656, 0.7500)
Se (0.0769, 0.9231, 0.2500)
Se (0.3724, 0.6276, 0.0469)
Se (0.3724, 0.6276, 0.4531)
Se (0.6276, 0.3724, 0.5469)
Se (0.6276, 0.3724, 0.9531)
Se (0.9231, 0.0769, 0.7500)

Most intense lines, 5° ≤ 2θ ≤ 70°, by intensity:
two_theta	d [Å]	intensity
11.48	7.709	100
32.87	2.725	51
29.34	3.044	29
40.55	2.225	26
33.90	2.645	20
35.91	2.501	16
28.37	3.146	16
57.34	1.607	15
44.80	2.023	13
45.03	2.013	10
51.92	1.761	9
58.70	1.573	8

***

Entry 3:
Structure and simulated powder diffractogram of KZrAuSe3 (a cell relaxed with GGA-PBE; Cu Kα X-rays).
Intensities are scaled so that the largest is 100.

a = 14.9711 Å, b = 3.9872 Å, c = 10.6658 Å
α = 90.00°, β = 90.00°, γ = 90.00°
Positions (direct):
K (0.2325, 0.2500, 0.0479)
K (0.2675, 0.7500, 0.5479)
K (0.7325, 0.2500, 0.4521)
K (0.7675, 0.7500, 0.9521)
Zr (0.0133, 0.2500, 0.3248)
Zr (0.4867, 0.7500, 0.8248)
Zr (0.5133, 0.2500, 0.1752)
Zr (0.9867, 0.7500, 0.6752)
Au (0.0134, 0.7500, 0.0991)
Au (0.4866, 0.2500, 0.5991)
Au (0.5134, 0.7500, 0.4009)
Au (0.9866, 0.2500, 0.9009)
Se (0.0886, 0.2500, 0.5659)
Se (0.1058, 0.7500, 0.8607)
Se (0.1354, 0.7500, 0.2706)
Se (0.3646, 0.2500, 0.7706)
Se (0.3942, 0.2500, 0.3607)
Se (0.4114, 0.7500, 0.0659)
Se (0.5886, 0.2500, 0.9341)
Se (0.6058, 0.7500, 0.6393)
Se (0.6354, 0.7500, 0.2294)
Se (0.8646, 0.2500, 0.7294)
Se (0.8942, 0.2500, 0.1393)
Se (0.9114, 0.7500, 0.4341)

Most intense lines, 5° ≤ 2θ ≤ 70°, by intensity:
two_theta	d [Å]	intensity
11.82	7.486	100
33.31	2.690	42
41.34	2.184	32
35.91	2.501	26
10.18	8.687	26
29.88	2.990	23
45.50	1.993	15
41.73	2.165	12
28.58	3.123	11
42.81	2.112	9
51.42	1.777	9
35.75	2.512	9

***

Entry 4:
Structure and simulated powder diffractogram of KZrAu3Se4 (a cell relaxed with GGA-PBE; Cu Kα X-rays).
Intensities are scaled so that the largest is 100.

a = 6.4566 Å, b = 6.4566 Å, c = 6.4566 Å
α = 90.00°, β = 90.00°, γ = 90.00°
Positions (direct):
K (0.0000, 0.0000, 0.0000)
Zr (0.5000, 0.5000, 0.5000)
Au (0.0000, 0.5000, 0.5000)
Au (0.5000, 0.0000, 0.5000)
Au (0.5000, 0.5000, 0.0000)
Se (0.2716, 0.2716, 0.2716)
Se (0.2716, 0.7284, 0.7284)
Se (0.7284, 0.2716, 0.7284)
Se (0.7284, 0.7284, 0.2716)

Most intense lines, 5° ≤ 2θ ≤ 70°, by intensity:
two_theta	d [Å]	intensity
39.48	2.283	100
23.87	3.728	91
13.72	6.457	53
46.66	1.947	45
27.63	3.228	21
62.73	1.481	18
57.06	1.614	16
30.97	2.887	16
41.98	2.152	14
51.00	1.791	13
64.55	1.444	10
48.86	1.864	7